(1)
Theoretical powder diffractogram
Compound: RbAcIrO4
Radiation: Cu Kα (λ = 1.5418 Å)
Structure: the PBE geometry in Alexandria

Peak list (10 most intense, 2θ from 10° to 80°, most intense first)
Position (°2θ), I/Imax
27.91, 100
29.37, 93
16.23, 75
14.56, 70
30.64, 68
52.56, 66
35.31, 52
31.12, 51
32.80, 49
44.97, 34

```
RbAcIrO4
1.0
-3.326 3.942 4.780
3.326 -3.942 4.780
3.326 3.942 -4.780
Rb Ac Ir O
2 2 2 8
Direct
0.397 0.147 0.250
0.603 0.853 0.750
0.000 0.500 0.500
0.500 0.500 0.000
0.000 0.000 0.500
0.000 0.500 0.000
0.154 0.246 0.909
0.163 0.754 0.409
0.215 0.245 0.530
0.215 0.686 0.970
0.785 0.314 0.030
0.785 0.755 0.470
0.837 0.246 0.591
0.846 0.754 0.091
```



(2)
Theoretical powder diffractogram
Compound: YMnAgBr6
Radiation: Cu Kα (λ = 1.5418 Å)
Structure: the PBE geometry in Alexandria

Peak list (10 most intense, 2θ from 10° to 80°, most intense first)
Position (°2θ), I/Imax
29.13, 100
37.96, 69
20.13, 50
45.13, 44
49.70, 22
75.40, 18
60.39, 16
42.04, 16
54.61, 15
78.49, 14

```
YMnAgBr6
1.0
6.960 0.000 0.000
-3.480 6.028 0.000
0.000 0.000 12.952
Y Mn Ag Br
2 2 2 12
Direct
0.333 0.667 0.250
0.667 0.333 0.750
0.333 0.667 0.750
0.667 0.333 0.250
0.000 0.000 0.000
0.000 0.000 0.500
0.013 0.355 0.629
0.013 0.658 0.871
0.342 0.355 0.871
0.342 0.987 0.629
0.355 0.013 0.129
0.355 0.342 0.371
0.645 0.658 0.629
0.645 0.987 0.871
0.658 0.013 0.371
0.658 0.645 0.129
0.987 0.342 0.129
0.987 0.645 0.371
```



(3)
Theoretical powder diffractogram
Compound: Nd2Al3Zn2
Radiation: Cu Kα (λ = 1.5418 Å)
Structure: the PBE geometry in Alexandria

Peak list (10 most intense, 2θ from 10° to 80°, most intense first)
Position (°2θ), I/Imax
33.13, 100
32.51, 74
42.61, 36
40.16, 32
59.99, 26
22.31, 25
30.55, 24
54.03, 22
55.98, 20
27.30, 18

```
Nd2Al3Zn2
1.0
2.245 -9.637 0.000
2.245 9.637 0.000
0.000 0.000 7.090
Nd Al Zn
4 6 4
Direct
0.049 0.951 0.750
0.161 0.839 0.250
0.839 0.161 0.750
0.951 0.049 0.250
0.221 0.779 0.750
0.439 0.561 0.570
0.439 0.561 0.930
0.561 0.439 0.070
0.561 0.439 0.430
0.779 0.221 0.250
0.316 0.684 0.066
0.316 0.684 0.434
0.684 0.316 0.566
0.684 0.316 0.934
```